[1]
Computed X-ray powder pattern
Compound: Ti6FeBi9O27
Radiation: Cu Kα
Structure: the PBE+U geometry in the Materials Project

Cell: 5.7070 6.0954 19.8005 Å, 90.00 90.00 90.00°
Positions (direct):
Ti: 0.0000 0.0000 0.0000
Ti: 0.0000 0.0000 0.2444
Ti: 0.0000 0.5000 0.3932
Ti: 0.0000 0.5000 0.6636
Ti: 0.5000 0.0000 0.2628
Ti: 0.5000 0.5000 0.9914
Fe: 0.5000 0.0000 0.6425
Bi: 0.0000 0.0000 0.4742
Bi: 0.0000 0.0000 0.6927
Bi: 0.0000 0.5000 0.0674
Bi: 0.0000 0.5000 0.8657
Bi: 0.5000 0.0000 0.0692
Bi: 0.5000 0.0000 0.8501
Bi: 0.5000 0.5000 0.2220
Bi: 0.5000 0.5000 0.4491
Bi: 0.5000 0.5000 0.7179
O: 0.0000 0.0000 0.0928
O: 0.0000 0.0000 0.3301
O: 0.0000 0.0000 0.5837
O: 0.0000 0.0000 0.8338
O: 0.0000 0.0000 0.9064
O: 0.0000 0.5000 0.7573
O: 0.2123 0.2849 0.4264
O: 0.2123 0.7151 0.4264
O: 0.2495 0.2537 0.0040
O: 0.2495 0.7463 0.0040
O: 0.2528 0.2819 0.6593
O: 0.2528 0.7181 0.6593
O: 0.2693 0.1979 0.2294
O: 0.2693 0.8021 0.2294
O: 0.5000 0.0000 0.7463
O: 0.5000 0.5000 0.0922
O: 0.5000 0.5000 0.3321
O: 0.5000 0.5000 0.5497
O: 0.5000 0.5000 0.8967
O: 0.7307 0.1979 0.2294
O: 0.7307 0.8021 0.2294
O: 0.7472 0.2819 0.6593
O: 0.7472 0.7181 0.6593
O: 0.7505 0.2537 0.0040
O: 0.7505 0.7463 0.0040
O: 0.7877 0.2849 0.4264
O: 0.7877 0.7151 0.4264

Peak list (6 most intense, 15 to 90 degrees two-theta, by angle)
| 2θ/deg | I/Imax |
| --- | --- |
| 21.80 | 53 |
| 22.45 | 36 |
| 27.99 | 100 |
| 29.30 | 38 |
| 31.35 | 33 |
| 43.44 | 40 |

[2]
Computed X-ray powder pattern
Compound: TiFeBi2O6
Radiation: Cu Kα
Structure: the PBE+U geometry in the Materials Project

Cell: 5.9244 6.1580 7.0244 Å, 115.31 92.10 115.27°
Positions (direct):
Ti: 0.0000 0.0000 0.0000
Fe: 0.6667 0.3453 0.9949
Bi: 0.2728 0.6614 0.6291
Bi: 0.8336 0.1093 0.5254
O: 0.0502 0.8892 0.4629
O: 0.0566 0.2388 0.2859
O: 0.3262 0.0499 0.9543
O: 0.7815 0.6637 0.9607
O: 0.8415 0.1229 0.8616
O: 0.9344 0.6923 0.5492

Peak list (6 most intense, 15 to 90 degrees two-theta, by angle)
| 2θ/deg | I/Imax |
| --- | --- |
| 17.93 | 49 |
| 20.16 | 100 |
| 25.75 | 42 |
| 27.61 | 29 |
| 29.20 | 32 |
| 30.86 | 40 |

[3]
Computed X-ray powder pattern
Compound: Ti3FeBi5O15
Radiation: Cu Kα
Structure: the PBE+U geometry in the Materials Project

Cell: 5.4861 5.5344 20.9611 Å, 90.00 97.52 90.00°
Positions (direct):
Ti: 0.0978 0.0000 0.1958
Ti: 0.1945 0.0065 0.4032
Ti: 0.4010 0.9967 0.8033
Ti: 0.5990 0.4967 0.1967
Ti: 0.8055 0.5065 0.5968
Ti: 0.9022 0.5000 0.8042
Fe: 0.2941 0.0082 0.5964
Fe: 0.7059 0.5082 0.4036
Bi: 0.0050 0.4410 0.0616
Bi: 0.1530 0.4532 0.2950
Bi: 0.2602 0.4664 0.4970
Bi: 0.3571 0.4482 0.7063
Bi: 0.4439 0.4391 0.9382
Bi: 0.5561 0.9391 0.0618
Bi: 0.6429 0.9482 0.2937
Bi: 0.7398 0.9664 0.5030
Bi: 0.8470 0.9532 0.7050
Bi: 0.9950 0.9410 0.9384
O: 0.0027 0.5084 0.8880
O: 0.0089 0.3298 0.3932
O: 0.1011 0.3289 0.6084
O: 0.1191 0.2511 0.7748
O: 0.1551 0.7498 0.7758
O: 0.1636 0.0507 0.4989
O: 0.2245 0.0444 0.3111
O: 0.2435 0.2115 0.0013
O: 0.2577 0.7114 0.0013
O: 0.3181 0.2982 0.2040
O: 0.3843 0.0110 0.8874
O: 0.3852 0.8006 0.2037
O: 0.4176 0.0449 0.6913
O: 0.4219 0.7487 0.4227
O: 0.4928 0.2435 0.4255
O: 0.5072 0.7435 0.5745
O: 0.5781 0.2487 0.5773
O: 0.5824 0.5449 0.3087
O: 0.6148 0.3006 0.7963
O: 0.6157 0.5110 0.1126
O: 0.6819 0.7982 0.7960
O: 0.7423 0.2114 0.9987
O: 0.7565 0.7115 0.9987
O: 0.7755 0.5444 0.6889
O: 0.8364 0.5507 0.5011
O: 0.8449 0.2498 0.2242
O: 0.8809 0.7511 0.2252
O: 0.8989 0.8289 0.3916
O: 0.9911 0.8298 0.6068
O: 0.9973 0.0084 0.1120

Peak list (6 most intense, 15 to 90 degrees two-theta, by angle)
| 2θ/deg | I/Imax |
| --- | --- |
| 22.93 | 29 |
| 30.01 | 100 |
| 32.35 | 22 |
| 32.65 | 21 |
| 39.07 | 18 |
| 46.62 | 21 |

[4]
Computed X-ray powder pattern
Compound: Ti3FeBi5O15
Radiation: Cu Kα
Structure: the PBE+U geometry in the Materials Project

Cell: 3.9680 3.9680 20.7060 Å, 95.43 95.43 88.56°
Positions (direct):
Ti: 0.0000 0.0000 0.0000
Ti: 0.1040 0.1040 0.2036
Ti: 0.8002 0.8002 0.5981
Fe: 0.9135 0.9135 0.8025
Bi: 0.1525 0.1525 0.4622
Bi: 0.2807 0.2807 0.6949
Bi: 0.3915 0.3915 0.8917
Bi: 0.4915 0.4915 0.1051
Bi: 0.5904 0.5904 0.3391
O: 0.0101 0.0101 0.9048
O: 0.0610 0.5404 0.9999
O: 0.1007 0.1007 0.0948
O: 0.1393 0.6228 0.1866
O: 0.1656 0.6653 0.4012
O: 0.1780 0.1780 0.2906
O: 0.3348 0.8532 0.6149
O: 0.4342 0.9671 0.8105
O: 0.5404 0.0610 0.9999
O: 0.6228 0.1393 0.1866
O: 0.6653 0.1656 0.4012
O: 0.7888 0.7888 0.5117
O: 0.8532 0.3348 0.6149
O: 0.9025 0.9025 0.7066
O: 0.9671 0.4342 0.8105

Peak list (6 most intense, 15 to 90 degrees two-theta, by angle)
| 2θ/deg | I/Imax |
| --- | --- |
| 22.52 | 64 |
| 29.80 | 100 |
| 29.91 | 98 |
| 31.49 | 45 |
| 32.32 | 46 |
| 45.75 | 42 |

[5]
Computed X-ray powder pattern
Compound: MnBi2I8O8
Radiation: Cu Kα
Structure: the PBE+U geometry in the Materials Project

Cell: 8.0657 13.6007 12.5932 Å, 90.00 119.54 90.00°
Positions (direct):
Mn: 0.0000 0.0000 0.0000
Mn: 0.0000 0.5000 0.5000
Bi: 0.3188 0.0186 0.5860
Bi: 0.3188 0.4814 0.0860
Bi: 0.6812 0.5186 0.9140
Bi: 0.6812 0.9814 0.4140
I: 0.0057 0.6489 0.0708
I: 0.0057 0.8511 0.5708
I: 0.1109 0.1387 0.7647
I: 0.1109 0.3613 0.2647
I: 0.4208 0.6525 0.9461
I: 0.4208 0.8475 0.4461
I: 0.4332 0.5281 0.6179
I: 0.4332 0.9719 0.1179
I: 0.5668 0.0281 0.8821
I: 0.5668 0.4719 0.3821
I: 0.5792 0.1525 0.5539
I: 0.5792 0.3475 0.0539
I: 0.8891 0.6387 0.7353
I: 0.8891 0.8613 0.2353
I: 0.9943 0.1489 0.4292
I: 0.9943 0.3511 0.9292
O: 0.0171 0.0903 0.8628
O: 0.0171 0.4097 0.3628
O: 0.2301 0.6089 0.5163
O: 0.2301 0.8911 0.0163
O: 0.2691 0.0585 0.1407
O: 0.2691 0.4415 0.6407
O: 0.3737 0.1619 0.8729
O: 0.3737 0.3381 0.3729
O: 0.6263 0.6619 0.6271
O: 0.6263 0.8381 0.1271
O: 0.7309 0.5585 0.3593
O: 0.7309 0.9415 0.8593
O: 0.7699 0.1089 0.9837
O: 0.7699 0.3911 0.4837
O: 0.9829 0.5903 0.6372
O: 0.9829 0.9097 0.1372

Peak list (6 most intense, 15 to 90 degrees two-theta, by angle)
| 2θ/deg | I/Imax |
| --- | --- |
| 15.34 | 63 |
| 19.77 | 62 |
| 24.94 | 79 |
| 25.95 | 88 |
| 28.56 | 45 |
| 29.98 | 100 |

[6]
Computed X-ray powder pattern
Compound: MnBi2I8O8
Radiation: Cu Kα
Structure: the PBE+U geometry in the Materials Project

Cell: 7.5511 12.8515 14.9668 Å, 90.00 103.51 90.00°
Positions (direct):
Mn: 0.0000 0.0000 0.0000
Mn: 0.0000 0.5000 0.5000
Bi: 0.2758 0.0483 0.5644
Bi: 0.2758 0.4517 0.0644
Bi: 0.7242 0.5483 0.9356
Bi: 0.7242 0.9517 0.4356
I: 0.0259 0.1339 0.4018
I: 0.0259 0.3661 0.9018
I: 0.2301 0.1708 0.7215
I: 0.2301 0.3292 0.2215
I: 0.3505 0.0682 0.1271
I: 0.3505 0.4318 0.6271
I: 0.3913 0.6568 0.9555
I: 0.3913 0.8432 0.4555
I: 0.6087 0.1568 0.5445
I: 0.6087 0.3432 0.0445
I: 0.6495 0.5682 0.3729
I: 0.6495 0.9318 0.8729
I: 0.7699 0.6708 0.7785
I: 0.7699 0.8292 0.2785
I: 0.9741 0.6339 0.0982
I: 0.9741 0.8661 0.5982
O: 0.1506 0.0215 0.1636
O: 0.1506 0.4785 0.6636
O: 0.2201 0.1262 0.0207
O: 0.2201 0.3738 0.5207
O: 0.2309 0.5910 0.4974
O: 0.2309 0.9090 0.9974
O: 0.3895 0.5721 0.5655
O: 0.3895 0.9279 0.0655
O: 0.6105 0.0721 0.9345
O: 0.6105 0.4279 0.4345
O: 0.7691 0.0910 0.0026
O: 0.7691 0.4090 0.5026
O: 0.7799 0.6262 0.4793
O: 0.7799 0.8738 0.9793
O: 0.8494 0.5215 0.3364
O: 0.8494 0.9785 0.8364

Peak list (6 most intense, 15 to 90 degrees two-theta, by angle)
| 2θ/deg | I/Imax |
| --- | --- |
| 19.07 | 74 |
| 20.30 | 100 |
| 20.43 | 72 |
| 24.08 | 82 |
| 27.39 | 85 |
| 28.57 | 66 |

[7]
Computed X-ray powder pattern
Compound: KPrMnBiO6
Radiation: Cu Kα
Structure: the PBE+U geometry in the Materials Project

Cell: 5.7749 5.7749 5.7749 Å, 60.00 60.00 60.00°
Positions (direct):
K: 0.0000 0.0000 0.0000
Pr: 0.5000 0.5000 0.5000
Mn: 0.7500 0.7500 0.7500
Bi: 0.2500 0.2500 0.2500
O: 0.5111 0.5111 0.9889
O: 0.5111 0.9889 0.5111
O: 0.5111 0.9889 0.9889
O: 0.9889 0.5111 0.5111
O: 0.9889 0.5111 0.9889
O: 0.9889 0.9889 0.5111

Peak list (6 most intense, 15 to 90 degrees two-theta, by angle)
| 2θ/deg | I/Imax |
| --- | --- |
| 18.82 | 38 |
| 30.97 | 100 |
| 36.49 | 26 |
| 44.37 | 31 |
| 55.09 | 40 |
| 89.88 | 22 |

[8]
Computed X-ray powder pattern
Compound: KMnBiWO6
Radiation: Cu Kα
Structure: the PBE+U geometry in the Materials Project

Cell: 5.7535 5.7535 5.7535 Å, 60.00 60.00 60.00°
Positions (direct):
K: 0.0000 0.0000 0.0000
Mn: 0.7500 0.7500 0.7500
Bi: 0.5000 0.5000 0.5000
W: 0.2500 0.2500 0.2500
O: 0.0108 0.0108 0.4892
O: 0.0108 0.4892 0.0108
O: 0.0108 0.4892 0.4892
O: 0.4892 0.0108 0.0108
O: 0.4892 0.0108 0.4892
O: 0.4892 0.4892 0.0108

Peak list (6 most intense, 15 to 90 degrees two-theta, by angle)
| 2θ/deg | I/Imax |
| --- | --- |
| 18.89 | 47 |
| 31.09 | 100 |
| 36.63 | 27 |
| 44.54 | 30 |
| 55.31 | 40 |
| 64.82 | 19 |